The following is a calculated X-ray powder pattern of Sc6Be7. It was derived from a PBE-relaxed structure, using λ = 1.5418 Å (Cu Kα).
No peak broadening, texture or thermal motion is included.

Most intense lines, 2θ from 5° to 70°, sorted by position:
2θ = 18.5°, d 4.790, I 30; 2θ = 21.3°, d 4.169, I 34; 2θ = 24.5°, d 3.635, I 29; 2θ = 32.8°, d 2.734, I 17; 2θ = 36.9°, d 2.433, I 100; 2θ = 37.9°, d 2.374, I 75; 2θ = 40.6°, d 2.221, I 35; 2θ = 41.6°, d 2.169, I 42; 2θ = 67.2°, d 1.393, I 24; 2θ = 69.1°, d 1.360, I 17

```
13
Lattice="2.433 1.405 9.580 -2.433 1.405 9.580 0.000 -2.809 9.580" Properties=species:S:1:pos:R:3 pbc="T T T"
Sc 0.000 0.000 1.505
Sc 0.000 0.000 4.334
Sc 0.000 0.000 9.624
Sc 0.000 0.000 19.117
Sc 0.000 0.000 24.406
Sc 0.000 0.000 27.235
Be -1.211 -0.699 12.421
Be 0.000 -1.398 16.319
Be -1.211 0.699 16.319
Be 0.000 0.000 14.370
Be 1.211 -0.699 12.421
Be 0.000 1.398 12.421
Be 1.211 0.699 16.319
```